[1]
This entry pairs a crystal structure of ReCSN2Cl3O2 with its computed XRD peak list. Radiation: Cu Kα (λ = 1.5418 Å). Structure: a DFT-relaxed cell (GGA-PBE, the Materials Project).
Intensities are scaled so that the largest is 100.

Crystal structure
Unit cell a=11.0751 b=7.9725 c=13.2261 alpha=90.00 beta=90.00 gamma=90.00
Fractional coordinates of all 40 atoms:
Re 0.1730 0.1806 0.0000
Re 0.3270 0.1806 0.5000
Re 0.6730 0.8194 0.0000
Re 0.8270 0.8194 0.5000
C 0.0630 0.6983 0.7766
C 0.4370 0.6983 0.2766
C 0.5630 0.3017 0.7766
C 0.9370 0.3017 0.2766
S 0.0502 0.4937 0.6125
S 0.4498 0.4937 0.1125
S 0.5502 0.5063 0.6125
S 0.9498 0.5063 0.1125
N 0.0536 0.7624 0.8575
N 0.0743 0.6361 0.6885
N 0.4257 0.6361 0.1885
N 0.4464 0.7624 0.3575
N 0.5536 0.2376 0.8575
N 0.5743 0.3639 0.6885
N 0.9257 0.3639 0.1885
N 0.9464 0.2376 0.3575
Cl 0.0867 0.9491 0.0787
Cl 0.2073 0.9968 0.4142
Cl 0.2220 0.3916 0.4149
Cl 0.2780 0.3916 0.9149
Cl 0.2927 0.9968 0.9142
Cl 0.4133 0.9491 0.5787
Cl 0.5867 0.0509 0.0787
Cl 0.7073 0.0032 0.4142
Cl 0.7220 0.6084 0.4149
Cl 0.7780 0.6084 0.9149
Cl 0.7927 0.0032 0.9142
Cl 0.9133 0.0509 0.5787
O 0.0371 0.2501 0.9535
O 0.2110 0.2679 0.1151
O 0.2890 0.2679 0.6151
O 0.4629 0.2501 0.4535
O 0.5371 0.7499 0.9535
O 0.7110 0.7321 0.1151
O 0.7890 0.7321 0.6151
O 0.9629 0.7499 0.4535

Top 12 peaks for 2θ = 10–90°, in order of rising 2θ:
- 2θ = 13.39°, 6.613 Å, rel. 100
- 2θ = 13.69°, 6.470 Å, rel. 98
- 2θ = 15.24°, 5.812 Å, rel. 35
- 2θ = 17.38°, 5.102 Å, rel. 70
- 2θ = 19.19°, 4.625 Å, rel. 90
- 2θ = 20.65°, 4.301 Å, rel. 33
- 2θ = 20.92°, 4.246 Å, rel. 28
- 2θ = 25.83°, 3.449 Å, rel. 23
- 2θ = 27.47°, 3.247 Å, rel. 32
- 2θ = 28.40°, 3.143 Å, rel. 20
- 2θ = 33.77°, 2.654 Å, rel. 20
- 2θ = 47.92°, 1.899 Å, rel. 24

***

[2]
This entry pairs a crystal structure of CdTe with its computed XRD peak list. Radiation: Cu Kα (λ = 1.5418 Å). Structure: a DFT-relaxed cell (GGA-PBE, the Materials Project).
Intensities are scaled so that the largest is 100.

Crystal structure
Unit cell a=4.3558 b=4.3558 c=6.0907 alpha=90.00 beta=90.00 gamma=90.55
Fractional coordinates of all 4 atoms:
Cd 0.2230 0.7770 0.7500
Cd 0.7770 0.2230 0.2500
Te 0.2661 0.7339 0.2500
Te 0.7339 0.2661 0.7500

Top 12 peaks for 2θ = 10–90°, in order of rising 2θ:
- 2θ = 28.85°, 3.095 Å, rel. 95
- 2θ = 29.13°, 3.065 Å, rel. 100
- 2θ = 29.33°, 3.045 Å, rel. 98
- 2θ = 41.46°, 2.178 Å, rel. 70
- 2θ = 41.61°, 2.171 Å, rel. 70
- 2θ = 41.81°, 2.160 Å, rel. 74
- 2θ = 51.60°, 1.771 Å, rel. 73
- 2θ = 68.54°, 1.369 Å, rel. 16
- 2θ = 68.85°, 1.364 Å, rel. 16
- 2θ = 75.59°, 1.258 Å, rel. 18
- 2θ = 76.01°, 1.252 Å, rel. 23
- 2θ = 76.31°, 1.248 Å, rel. 22